Starting from DFT lattice parameters and positions (PBE), the PXRD pattern of Pr3NdSe6 was computed for a wavelength of 1.5418 Å.
Kinematic intensities with the Lorentz-polarization factor, no thermal factor.

Structural model:
```
Pr3NdSe6
1.0
11.944 0.000 0.000
0.000 4.281 0.000
-3.900 0.000 11.643
Pr Nd Se
6 2 12
direct
0.071 0.250 0.169
0.182 0.750 0.503
0.340 0.250 0.918
0.660 0.750 0.082
0.818 0.250 0.497
0.929 0.750 0.831
0.457 0.250 0.311
0.543 0.750 0.689
0.019 0.250 0.385
0.100 0.250 0.935
0.250 0.750 0.279
0.312 0.750 0.750
0.390 0.250 0.537
0.416 0.750 0.101
0.584 0.250 0.899
0.610 0.750 0.463
0.688 0.250 0.250
0.750 0.250 0.721
0.900 0.750 0.065
0.981 0.750 0.615
```

Most intense lines, 10 to 90 degrees two-theta, by intensity:
| d_spacing | 2theta | I/Imax |
| --- | --- | --- |
| 3.119 | 28.6 | 100.0 |
| 2.307 | 39.0 | 77.2 |
| 2.831 | 31.6 | 75.7 |
| 2.140 | 42.2 | 70.2 |
| 3.006 | 29.7 | 50.7 |
| 2.238 | 40.3 | 49.2 |